[1]
For PmBrO4F, a DFT-relaxed cell (PBE, Alexandria) gives the computed PXRD pattern in this record (Cu Kα).

Crystal structure
a b c (Å): 6.1228 6.1228 7.0227
angles (deg): 102.77 102.77 76.25
Fractional positions:
Pm (0.2036, 0.2036, 0.1040)
Pm (0.7964, 0.7964, 0.8960)
Br (0.3475, 0.3475, 0.7191)
Br (0.6525, 0.6525, 0.2809)
O (0.1145, 0.4756, 0.8738)
O (0.2503, 0.2503, 0.4781)
O (0.4756, 0.1145, 0.8738)
O (0.4757, 0.4757, 0.2715)
O (0.5243, 0.5243, 0.7285)
O (0.5244, 0.8855, 0.1262)
O (0.7497, 0.7497, 0.5219)
O (0.8855, 0.5244, 0.1262)
F (0.0123, 0.0123, 0.8242)
F (0.9877, 0.9877, 0.1758)

Most intense lines, 2θ = 5–70°, sorted by position:
two_theta, I/Imax
13.1, 73
19.2, 61
23.5, 100
26.3, 53
28.1, 74
30.7, 36
35.5, 57
44.3, 31
45.8, 29
57.9, 23

=====

[2]
For Rb6Br2OF, a DFT-relaxed cell (PBE, Alexandria) gives the computed PXRD pattern in this record (Cu Kα).

Crystal structure
a b c (Å): 14.7825 14.7825 14.7825
angles (deg): 31.14 31.14 31.14
Fractional positions:
Rb (0.1165, 0.1165, 0.6485)
Rb (0.1165, 0.6485, 0.1165)
Rb (0.2160, 0.7021, 0.7021)
Rb (0.2979, 0.2979, 0.7840)
Rb (0.2979, 0.7840, 0.2979)
Rb (0.3515, 0.8835, 0.8835)
Rb (0.6485, 0.1165, 0.1165)
Rb (0.7021, 0.2160, 0.7021)
Rb (0.7021, 0.7021, 0.2160)
Rb (0.7840, 0.2979, 0.2979)
Rb (0.8835, 0.3515, 0.8835)
Rb (0.8835, 0.8835, 0.3515)
Br (0.2317, 0.2317, 0.2317)
Br (0.3616, 0.3616, 0.3616)
Br (0.6384, 0.6384, 0.6384)
Br (0.7683, 0.7683, 0.7683)
O (0.0000, 0.0000, 0.0000)
O (0.5000, 0.5000, 0.5000)
F (0.0860, 0.0860, 0.0860)
F (0.9140, 0.9140, 0.9140)

Most intense lines, 2θ = 5–70°, sorted by position:
two_theta, I/Imax
25.3, 36
26.3, 34
28.0, 75
29.9, 100
31.1, 13
39.8, 17
45.7, 41
48.9, 13
53.0, 26
55.6, 16

=====

[3]
For Rb4BrOF, a DFT-relaxed cell (PBE, Alexandria) gives the computed PXRD pattern in this record (Cu Kα).

Crystal structure
a b c (Å): 9.0036 9.0036 9.0036
angles (deg): 144.68 144.68 50.81
Fractional positions:
Rb (0.0000, 0.0000, 0.0000)
Rb (0.1803, 0.6803, 0.5000)
Rb (0.3321, 0.3321, 0.0000)
Rb (0.6803, 0.1803, 0.5000)
Br (0.5345, 0.5345, 0.0000)
O (0.1705, 0.1705, 0.0000)
F (0.8195, 0.8195, 0.0000)

Most intense lines, 2θ = 5–70°, sorted by position:
two_theta, I/Imax
10.9, 21
23.1, 25
25.5, 96
32.0, 100
32.8, 75
33.0, 28
47.1, 26
47.2, 40
54.3, 23
58.0, 32

=====

[4]
For OsBr4F4, a DFT-relaxed cell (PBE, Alexandria) gives the computed PXRD pattern in this record (Cu Kα).

Crystal structure
a b c (Å): 5.3959 9.6297 10.0780
angles (deg): 80.33 87.82 79.79
Fractional positions:
Os (0.2214, 0.2447, 0.2574)
Os (0.7786, 0.7553, 0.7426)
Br (0.0905, 0.6704, 0.5846)
Br (0.1342, 0.2477, 0.8555)
Br (0.3072, 0.1829, 0.6580)
Br (0.4178, 0.4544, 0.2354)
Br (0.5822, 0.5456, 0.7646)
Br (0.6928, 0.8171, 0.3420)
Br (0.8658, 0.7523, 0.1445)
Br (0.9095, 0.3296, 0.4154)
F (0.0105, 0.3241, 0.1053)
F (0.0811, 0.0738, 0.2695)
F (0.4383, 0.1505, 0.4039)
F (0.4687, 0.1654, 0.1377)
F (0.5313, 0.8346, 0.8623)
F (0.5617, 0.8495, 0.5961)
F (0.9189, 0.9262, 0.7305)
F (0.9895, 0.6759, 0.8947)

Most intense lines, 2θ = 5–70°, sorted by position:
two_theta, I/Imax
11.9, 69
14.0, 43
17.7, 91
17.9, 88
19.0, 100
20.6, 74
23.1, 46
24.0, 43
28.3, 93
30.6, 49

=====

[5]
For TeOsBrF2, a DFT-relaxed cell (PBE, Alexandria) gives the computed PXRD pattern in this record (Cu Kα).

Crystal structure
a b c (Å): 4.1483 4.1483 5.5876
angles (deg): 90.00 90.00 90.00
Fractional positions:
Te (0.0000, 0.0000, 0.0000)
Os (0.5000, 0.5000, 0.5000)
Br (0.5000, 0.5000, 0.0000)
F (0.0000, 0.5000, 0.5000)
F (0.5000, 0.0000, 0.5000)

Most intense lines, 2θ = 5–70°, sorted by position:
two_theta, I/Imax
21.4, 35
26.8, 100
30.5, 86
32.0, 57
38.9, 15
43.6, 48
44.8, 61
51.9, 33
55.2, 47
63.4, 15

=====

[6]
For P3BrF12, a DFT-relaxed cell (PBE, Alexandria) gives the computed PXRD pattern in this record (Cu Kα).

Crystal structure
a b c (Å): 10.5259 10.5259 10.5259
angles (deg): 47.95 47.95 47.95
Fractional positions:
P (0.0224, 0.3327, 0.6448)
P (0.1448, 0.8327, 0.5224)
P (0.3327, 0.6448, 0.0224)
P (0.5224, 0.1448, 0.8327)
P (0.6448, 0.0224, 0.3327)
P (0.8327, 0.5224, 0.1448)
Br (0.3333, 0.3333, 0.3333)
Br (0.8333, 0.8333, 0.8333)
F (0.0042, 0.0073, 0.4146)
F (0.0073, 0.4146, 0.0042)
F (0.1583, 0.7517, 0.1639)
F (0.1639, 0.1583, 0.7517)
F (0.2191, 0.7494, 0.9084)
F (0.2494, 0.7191, 0.4084)
F (0.2517, 0.6583, 0.6639)
F (0.2587, 0.9462, 0.4187)
F (0.4084, 0.2494, 0.7191)
F (0.4146, 0.0042, 0.0073)
F (0.4187, 0.2587, 0.9462)
F (0.4462, 0.7587, 0.9187)
F (0.5042, 0.9146, 0.5073)
F (0.5073, 0.5042, 0.9146)
F (0.6583, 0.6639, 0.2517)
F (0.6639, 0.2517, 0.6583)
F (0.7191, 0.4084, 0.2494)
F (0.7494, 0.9084, 0.2191)
F (0.7517, 0.1639, 0.1583)
F (0.7587, 0.9187, 0.4462)
F (0.9084, 0.2191, 0.7494)
F (0.9146, 0.5073, 0.5042)
F (0.9187, 0.4462, 0.7587)
F (0.9462, 0.4187, 0.2587)

Most intense lines, 2θ = 5–70°, sorted by position:
two_theta, I/Imax
13.5, 31
17.5, 26
19.1, 100
22.9, 94
24.9, 21
32.6, 27
34.4, 22
34.5, 55
41.4, 38
54.2, 18

=====

[7]
For Pa2Br4F5, a DFT-relaxed cell (PBE, Alexandria) gives the computed PXRD pattern in this record (Cu Kα).

Crystal structure
a b c (Å): 6.3391 4.5371 10.5197
angles (deg): 90.00 95.10 90.00
Fractional positions:
Pa (0.0376, 0.0000, 0.2206)
Pa (0.9624, 0.0000, 0.7794)
Br (0.2314, 0.5000, 0.3639)
Br (0.2323, 0.5000, 0.8641)
Br (0.7677, 0.5000, 0.1359)
Br (0.7686, 0.5000, 0.6361)
F (0.0000, 0.0000, 0.0000)
F (0.1587, 0.0000, 0.6353)
F (0.3402, 0.0000, 0.1662)
F (0.6598, 0.0000, 0.8338)
F (0.8413, 0.0000, 0.3647)

Most intense lines, 2θ = 5–70°, sorted by position:
two_theta, I/Imax
14.0, 100
16.9, 59
21.1, 60
24.2, 41
26.0, 28
30.4, 85
34.6, 47
39.7, 49
39.9, 19
43.4, 27

=====

[8]
For Rb2PaBr4F2, a DFT-relaxed cell (PBE, Alexandria) gives the computed PXRD pattern in this record (Cu Kα).

Crystal structure
a b c (Å): 7.4179 7.4179 6.0317
angles (deg): 99.71 99.71 67.05
Fractional positions:
Rb (0.1725, 0.1725, 0.3271)
Rb (0.8275, 0.8275, 0.6729)
Pa (0.5000, 0.5000, 0.0000)
Br (0.1405, 0.6516, 0.2054)
Br (0.3484, 0.8595, 0.7946)
Br (0.6516, 0.1405, 0.2054)
Br (0.8595, 0.3484, 0.7946)
F (0.3631, 0.3631, 0.7245)
F (0.6369, 0.6369, 0.2755)

Most intense lines, 2θ = 5–70°, sorted by position:
two_theta, I/Imax
13.0, 31
15.0, 23
21.0, 52
23.1, 32
24.6, 38
28.8, 100
37.6, 24
38.0, 30
44.2, 22
50.4, 30

=====

[9]
For Pb6BrF12, a DFT-relaxed cell (PBE, Alexandria) gives the computed PXRD pattern in this record (Cu Kα).

Crystal structure
a b c (Å): 7.3484 7.3484 7.3484
angles (deg): 101.86 101.86 101.86
Fractional positions:
Pb (0.2339, 0.2339, 0.6445)
Pb (0.2339, 0.6445, 0.2339)
Pb (0.3555, 0.7661, 0.7661)
Pb (0.6445, 0.2339, 0.2339)
Pb (0.7661, 0.3555, 0.7661)
Pb (0.7661, 0.7661, 0.3555)
Br (0.0000, 0.0000, 0.0000)
F (0.1325, 0.5000, 0.8674)
F (0.1325, 0.8674, 0.5000)
F (0.2007, 0.4751, 0.4751)
F (0.4751, 0.2007, 0.4751)
F (0.4751, 0.4751, 0.2007)
F (0.5000, 0.1326, 0.8674)
F (0.5000, 0.8674, 0.1326)
F (0.5249, 0.5249, 0.7993)
F (0.5249, 0.7993, 0.5249)
F (0.7993, 0.5249, 0.5249)
F (0.8674, 0.1325, 0.5000)
F (0.8674, 0.5000, 0.1325)

Most intense lines, 2θ = 5–70°, sorted by position:
two_theta, I/Imax
25.5, 100
25.6, 57
27.4, 28
30.1, 54
31.4, 37
38.9, 29
40.9, 38
42.1, 27
46.9, 33
49.8, 30

=====

[10]
For Pb4BrF6, a DFT-relaxed cell (PBE, Alexandria) gives the computed PXRD pattern in this record (Cu Kα).

Crystal structure
a b c (Å): 7.6465 7.6465 4.0311
angles (deg): 90.00 90.00 120.00
Fractional positions:
Pb (0.0000, 0.0000, 0.0000)
Pb (0.0360, 0.5180, 0.5000)
Pb (0.4820, 0.5180, 0.5000)
Pb (0.4820, 0.9640, 0.5000)
Br (0.6667, 0.3333, 0.0000)
F (0.1984, 0.3967, 0.0000)
F (0.1984, 0.8016, 0.0000)
F (0.2618, 0.1309, 0.5000)
F (0.6033, 0.8016, 0.0000)
F (0.8691, 0.1309, 0.5000)
F (0.8691, 0.7382, 0.5000)

Most intense lines, 2θ = 5–70°, sorted by position:
two_theta, I/Imax
25.9, 60
26.9, 100
32.3, 57
35.1, 43
42.5, 45
45.0, 18
46.9, 31
47.6, 34
53.2, 33
67.5, 24

=====

[11]
For Pd3BrF, a DFT-relaxed cell (PBE, Alexandria) gives the computed PXRD pattern in this record (Cu Kα).

Crystal structure
a b c (Å): 4.7737 4.7737 4.7737
angles (deg): 90.00 90.00 90.00
Fractional positions:
Pd (0.0000, 0.0000, 0.5000)
Pd (0.0000, 0.5000, 0.0000)
Pd (0.5000, 0.0000, 0.0000)
Br (0.0000, 0.0000, 0.0000)
F (0.5000, 0.5000, 0.5000)

Most intense lines, 2θ = 5–70°, sorted by position:
two_theta, I/Imax
18.6, 97
32.5, 76
37.7, 100
42.3, 46
54.4, 67
58.0, 23
64.8, 29
68.0, 22

=====

[12]
For Pd2BrF, a DFT-relaxed cell (PBE, Alexandria) gives the computed PXRD pattern in this record (Cu Kα).

Crystal structure
a b c (Å): 5.5916 5.5916 5.5916
angles (deg): 106.65 106.65 115.28
Fractional positions:
Pd (0.1017, 0.6250, 0.9767)
Pd (0.3750, 0.3517, 0.4767)
Pd (0.6483, 0.1250, 0.0233)
Pd (0.8750, 0.8983, 0.5233)
Br (0.2500, 0.7500, 0.5000)
Br (0.5000, 0.5000, 0.0000)
F (0.0000, 0.0000, 0.0000)
F (0.7500, 0.2500, 0.5000)

Most intense lines, 2θ = 5–70°, sorted by position:
two_theta, I/Imax
19.9, 6
26.7, 23
33.5, 19
35.5, 100
38.1, 70
43.4, 8
53.1, 57
55.0, 22
67.2, 13
68.7, 24